# LiLaZnPd2
Theoretical X-ray powder pattern, λ = 1.5418 Å (Cu Kα). Input: DFT lattice parameters and positions (GGA-PBE).
Intensities are scaled so that the largest is 1000.

Principal peaks in the range 2θ = 15–90°, by angle:
d = 3.830 Å, 2θ 23.23, I = 166
d = 2.858 Å, 2θ 31.30, I = 569
d = 2.842 Å, 2θ 31.48, I = 1000
d = 2.580 Å, 2θ 34.78, I = 672
d = 2.062 Å, 2θ 43.91, I = 674
d = 2.021 Å, 2θ 44.85, I = 503
d = 1.647 Å, 2θ 55.83, I = 386
d = 1.443 Å, 2θ 64.57, I = 420
d = 1.429 Å, 2θ 65.30, I = 160
d = 1.277 Å, 2θ 74.25, I = 175

Atomic structure:
```
data_LiLaZnPd2
_chemical_formula_sum 'Li2 La2 Zn2 Pd4'
_cell_length_a 4.0415
_cell_length_b 4.0415
_cell_length_c 11.9875
_cell_angle_alpha 90.00
_cell_angle_beta 90.00
_cell_angle_gamma 90.00
_space_group_name_H-M_alt 'I -4 m 2'
_space_group_IT_number 119
_space_group_name_Hall 'I -4 -2'
loop_
_atom_site_label
_atom_site_type_symbol
_atom_site_fract_x
_atom_site_fract_y
_atom_site_fract_z
Li1 Li 0.0000 0.0000 0.0000
La1 La 0.0000 0.5000 0.2500
Zn1 Zn 0.0000 0.0000 0.5000
Pd1 Pd 0.0000 0.5000 0.6367
```